Structure and calculated powder diffraction line list of MnCoHg (DFT lattice parameters and positions (GGA-PBE); a wavelength of 1.5418 Å).
Lines closer than 0.1° are merged.

Most intense lines, 10° ≤ 2θ ≤ 90°, most intense first:
- 2θ 43.35, d = 2.087 Å, rel. 100
- 2θ 34.81, d = 2.577 Å, rel. 71
- 2θ 39.84, d = 2.263 Å, rel. 64
- 2θ 31.44, d = 2.845 Å, rel. 45
- 2θ 33.92, d = 2.642 Å, rel. 40
- 2θ 34.71, d = 2.585 Å, rel. 36
- 2θ 39.98, d = 2.255 Å, rel. 34
- 2θ 34.92, d = 2.570 Å, rel. 34
- 2θ 62.98, d = 1.476 Å, rel. 32
- 2θ 39.70, d = 2.270 Å, rel. 29

Structural model:
Lattice parameters (Å, degrees): 2.952 2.952 10.570 90.00 90.39 90.00
Fractional positions:
Mn: 0.000 0.000 0.000
Mn: 0.007 0.000 0.265
Co: 0.497 0.500 0.883
Co: 0.504 0.500 0.136
Hg: 0.511 0.500 0.460
Hg: 0.993 0.000 0.707

Structure and calculated powder diffraction line list of Pr3Nd3CoHg2 (DFT lattice parameters and positions (GGA-PBE); a wavelength of 1.5418 Å).
Lines closer than 0.1° are merged.

Most intense lines, 10° ≤ 2θ ≤ 90°, most intense first:
- 2θ 31.01, d = 2.884 Å, rel. 100
- 2θ 30.51, d = 2.930 Å, rel. 84
- 2θ 33.14, d = 2.703 Å, rel. 76
- 2θ 38.93, d = 2.314 Å, rel. 41
- 2θ 34.72, d = 2.584 Å, rel. 40
- 2θ 57.28, d = 1.608 Å, rel. 31
- 2θ 59.93, d = 1.543 Å, rel. 29
- 2θ 58.18, d = 1.586 Å, rel. 27
- 2θ 48.76, d = 1.868 Å, rel. 19
- 2θ 48.26, d = 1.886 Å, rel. 18

Structural model:
Lattice parameters (Å, degrees): 8.951 8.951 3.772 90.00 90.00 120.00
Fractional positions:
Pr: 0.000 0.406 0.000
Pr: 0.406 0.000 0.000
Pr: 0.594 0.594 0.000
Nd: 0.000 0.768 0.500
Nd: 0.232 0.232 0.500
Nd: 0.768 0.000 0.500
Co: 0.000 0.000 0.000
Hg: 0.333 0.667 0.500
Hg: 0.667 0.333 0.500

Please write out number 1 again, unchanged.
Structure and calculated powder diffraction line list of MnCoHg (DFT lattice parameters and positions (GGA-PBE); a wavelength of 1.5418 Å).
Lines closer than 0.1° are merged.

Most intense lines, 10° ≤ 2θ ≤ 90°, most intense first:
- 2θ 43.35, d = 2.087 Å, rel. 100
- 2θ 34.81, d = 2.577 Å, rel. 71
- 2θ 39.84, d = 2.263 Å, rel. 64
- 2θ 31.44, d = 2.845 Å, rel. 45
- 2θ 33.92, d = 2.642 Å, rel. 40
- 2θ 34.71, d = 2.585 Å, rel. 36
- 2θ 39.98, d = 2.255 Å, rel. 34
- 2θ 34.92, d = 2.570 Å, rel. 34
- 2θ 62.98, d = 1.476 Å, rel. 32
- 2θ 39.70, d = 2.270 Å, rel. 29

Structural model:
Lattice parameters (Å, degrees): 2.952 2.952 10.570 90.00 90.39 90.00
Fractional positions:
Mn: 0.000 0.000 0.000
Mn: 0.007 0.000 0.265
Co: 0.497 0.500 0.883
Co: 0.504 0.500 0.136
Hg: 0.511 0.500 0.460
Hg: 0.993 0.000 0.707